[1]
Diffraction record for Li2CaDy2In2. The X-ray powder pattern is calculated, not measured: it uses a structure optimized by DFT (GGA-PBE) and Cu Ka.
Neutral-atom scattering factors, no anomalous dispersion.

Main lines, low angle first (2θ = 5–70°):
d (Å), intensity
9.019, 50
4.204, 59
4.060, 37
3.345, 18
2.861, 48
2.648, 100
2.457, 87
1.864, 14
1.802, 38
1.572, 16
1.453, 50
1.419, 15

Cell and atoms:
```
data_Li2CaDy2In2
_space_group_name_H-M_alt 'P 1'
_space_group_IT_number 1
_space_group_name_Hall 'P 1'
_cell_length_a 9.455
_cell_length_b 9.455
_cell_length_c 9.455
_cell_angle_alpha 30.13
_cell_angle_beta 30.13
_cell_angle_gamma 30.13
loop_
_atom_site_label
_atom_site_fract_x
_atom_site_fract_y
_atom_site_fract_z
_atom_site_occupancy
Li1 0.102 0.102 0.102 1
Li2 0.898 0.898 0.898 1
Ca1 0.500 0.500 0.500 1
Dy1 0.371 0.371 0.371 1
Dy2 0.629 0.629 0.629 1
In1 0.245 0.245 0.245 1
In2 0.755 0.755 0.755 1
```

[2]
Diffraction record for CaLa12Dy3. The X-ray powder pattern is calculated, not measured: it uses a structure optimized by DFT (GGA-PBE) and Cu Ka.
Neutral-atom scattering factors, no anomalous dispersion.

Main lines, low angle first (2θ = 5–70°):
d (Å), intensity
10.483, 2
6.989, 1
5.084, 1
4.687, 1
3.026, 100
2.777, 1
2.620, 51
2.542, 1
2.329, 1
1.853, 36
1.580, 43
1.513, 12

Cell and atoms:
```
data_CaLa12Dy3
_space_group_name_H-M_alt 'P 1'
_space_group_IT_number 1
_space_group_name_Hall 'P 1'
_cell_length_a 5.240
_cell_length_b 5.240
_cell_length_c 20.966
_cell_angle_alpha 90.00
_cell_angle_beta 90.00
_cell_angle_gamma 90.00
loop_
_atom_site_label
_atom_site_fract_x
_atom_site_fract_y
_atom_site_fract_z
_atom_site_occupancy
Ca1 0.000 0.000 0.000 1
La1 0.000 0.500 0.130 1
La2 0.000 0.500 0.376 1
La3 0.000 0.500 0.624 1
La4 0.000 0.500 0.870 1
La5 0.500 0.000 0.130 1
La6 0.500 0.000 0.376 1
La7 0.500 0.000 0.624 1
La8 0.500 0.000 0.870 1
La9 0.500 0.500 0.000 1
La10 0.500 0.500 0.252 1
La11 0.500 0.500 0.500 1
La12 0.500 0.500 0.748 1
Dy1 0.000 0.000 0.252 1
Dy2 0.000 0.000 0.500 1
Dy3 0.000 0.000 0.748 1
```

[3]
Diffraction record for CaLa9Dy2. The X-ray powder pattern is calculated, not measured: it uses a structure optimized by DFT (GGA-PBE) and Cu Ka.
Neutral-atom scattering factors, no anomalous dispersion.

Main lines, low angle first (2θ = 5–70°):
d (Å), intensity
15.760, 7
7.880, 2
4.975, 2
4.365, 1
3.029, 100
2.700, 2
2.623, 51
2.249, 1
1.855, 36
1.708, 1
1.582, 43
1.515, 12

Cell and atoms:
```
data_CaLa9Dy2
_space_group_name_H-M_alt 'P 1'
_space_group_IT_number 1
_space_group_name_Hall 'P 1'
_cell_length_a 5.243
_cell_length_b 5.243
_cell_length_c 15.760
_cell_angle_alpha 90.00
_cell_angle_beta 90.00
_cell_angle_gamma 90.00
loop_
_atom_site_label
_atom_site_fract_x
_atom_site_fract_y
_atom_site_fract_z
_atom_site_occupancy
Ca1 0.000 0.000 0.000 1
La1 0.000 0.500 0.173 1
La2 0.000 0.500 0.500 1
La3 0.000 0.500 0.827 1
La4 0.500 0.000 0.173 1
La5 0.500 0.000 0.500 1
La6 0.500 0.000 0.827 1
La7 0.500 0.500 0.000 1
La8 0.500 0.500 0.336 1
La9 0.500 0.500 0.664 1
Dy1 0.000 0.000 0.334 1
Dy2 0.000 0.000 0.666 1
```

[4]
Diffraction record for CaLa5Dy3. The X-ray powder pattern is calculated, not measured: it uses a structure optimized by DFT (GGA-PBE) and Cu Ka.
Neutral-atom scattering factors, no anomalous dispersion.

Main lines, low angle first (2θ = 5–70°):
d (Å), intensity
5.251, 11
3.500, 13
3.342, 11
2.984, 100
2.968, 46
2.955, 16
2.920, 52
2.842, 16
2.791, 10
2.402, 18
1.697, 16
1.490, 11

Cell and atoms:
```
data_CaLa5Dy3
_space_group_name_H-M_alt 'P 1'
_space_group_IT_number 1
_space_group_name_Hall 'P 1'
_cell_length_a 8.958
_cell_length_b 8.958
_cell_length_c 11.933
_cell_angle_alpha 107.89
_cell_angle_beta 107.89
_cell_angle_gamma 45.99
loop_
_atom_site_label
_atom_site_fract_x
_atom_site_fract_y
_atom_site_fract_z
_atom_site_occupancy
Ca1 0.235 0.765 0.750 1
Ca2 0.765 0.235 0.250 1
La1 0.071 0.277 0.851 1
La2 0.277 0.071 0.351 1
La3 0.309 0.691 0.250 1
La4 0.390 0.390 0.451 1
La5 0.390 0.390 0.951 1
La6 0.610 0.610 0.049 1
La7 0.610 0.610 0.549 1
La8 0.691 0.309 0.750 1
La9 0.723 0.929 0.649 1
La10 0.929 0.723 0.149 1
Dy1 0.000 0.000 0.000 1
Dy2 0.000 0.000 0.500 1
Dy3 0.155 0.355 0.625 1
Dy4 0.355 0.155 0.125 1
Dy5 0.645 0.845 0.875 1
Dy6 0.845 0.645 0.375 1
```